1.
This entry pairs a crystal structure of RbFe2S2 with its computed powder X-ray diffraction pattern. Radiation: a wavelength of 1.5418 Å. Structure: a cell relaxed with GGA-PBE.
Kinematic intensities with the Lorentz-polarization factor, no thermal factor.

Largest 8 diffraction maxima, sorted by position, 2θ = 10–90°:
- 2θ = 12.21°, 7.251 Å, rel. 33.0, hkl 0 0 1
- 2θ = 24.55°, 3.626 Å, rel. 46.0, hkl 0 0 2
- 2θ = 27.34°, 3.262 Å, rel. 72.1, hkl 1 0 1
- 2θ = 34.86°, 2.573 Å, rel. 68.3, hkl 1 0 2
- 2θ = 36.94°, 2.433 Å, rel. 100.0, hkl 1 1 1
- 2θ = 49.93°, 1.827 Å, rel. 41.6, hkl 2 0 0
- 2θ = 51.80°, 1.765 Å, rel. 65.5, hkl 1 1 3
- 2θ = 62.34°, 1.489 Å, rel. 23.2, hkl 2 1 2

Atomic structure:
```
data_RbFe2S2
_chemical_formula_sum 'Rb1 Fe2 S2'
_cell_length_a 3.653
_cell_length_b 3.653
_cell_length_c 7.251
_cell_angle_alpha 90.00
_cell_angle_beta 90.00
_cell_angle_gamma 90.00
_space_group_name_H-M_alt 'P 4/m m m'
_space_group_IT_number 123
_space_group_name_Hall '-P 4 2'
loop_
_atom_site_label
_atom_site_fract_x
_atom_site_fract_y
_atom_site_fract_z
_atom_site_occupancy
Rb1 0.000 0.000 0.000 1
Fe1 0.000 0.500 0.500 1
S1 0.500 0.500 0.295 1
```

***

2.
This entry pairs a crystal structure of LaZrB with its computed powder X-ray diffraction pattern. Radiation: a wavelength of 1.5418 Å. Structure: a cell relaxed with GGA-PBE.
Kinematic intensities with the Lorentz-polarization factor, no thermal factor.

Largest 8 diffraction maxima, sorted by position, 2θ = 10–90°:
- 2θ = 27.52°, 3.241 Å, rel. 68.1, hkl 0 0 4
- 2θ = 31.53°, 2.838 Å, rel. 42.8, hkl 0 2 0
- 2θ = 32.30°, 2.772 Å, rel. 100.0, hkl 1 1 1
- 2θ = 37.89°, 2.374 Å, rel. 58.6, hkl 1 1 -3
- 2θ = 38.01°, 2.367 Å, rel. 29.4, hkl 1 1 3
- 2θ = 42.29°, 2.137 Å, rel. 26.1, hkl 0 2 4
- 2θ = 56.14°, 1.638 Å, rel. 31.6, hkl 2 0 0
- 2θ = 63.54°, 1.464 Å, rel. 18.9, hkl 2 0 -4

Atomic structure:
```
data_LaZrB
_chemical_formula_sum 'La4 Zr4 B4'
_cell_length_a 3.276
_cell_length_b 5.675
_cell_length_c 12.965
_cell_angle_alpha 90.00
_cell_angle_beta 90.30
_cell_angle_gamma 90.00
_space_group_name_H-M_alt 'C 1 2 1'
_space_group_IT_number 5
_space_group_name_Hall 'C 2y'
loop_
_atom_site_label
_atom_site_fract_x
_atom_site_fract_y
_atom_site_fract_z
_atom_site_occupancy
La1 0.002 0.000 0.371 1
Zr1 0.003 0.664 0.130 1
B1 0.000 0.330 0.000 1
B2 0.000 0.997 0.000 1
```

***

3.
This entry pairs a crystal structure of Ac6Tb3Sm2 with its computed powder X-ray diffraction pattern. Radiation: a wavelength of 1.5418 Å. Structure: a cell relaxed with GGA-PBE.
Kinematic intensities with the Lorentz-polarization factor, no thermal factor.

Largest 8 diffraction maxima, sorted by position, 2θ = 10–90°:
- 2θ = 28.76°, 3.104 Å, rel. 100.0, hkl 1 3 1
- 2θ = 30.11°, 2.968 Å, rel. 29.6, hkl 0 0 4
- 2θ = 33.60°, 2.668 Å, rel. 22.6, hkl 2 0 2
- 2θ = 33.80°, 2.652 Å, rel. 43.8, hkl 1 3 -3
- 2θ = 47.56°, 1.912 Å, rel. 25.7, hkl 0 6 0
- 2θ = 49.25°, 1.850 Å, rel. 15.6, hkl 1 3 5
- 2θ = 56.61°, 1.626 Å, rel. 10.4, hkl 2 6 -2
- 2θ = 57.13°, 1.612 Å, rel. 10.2, hkl 3 3 3

Atomic structure:
```
data_Ac6Tb3Sm2
_chemical_formula_sum 'Ac12 Tb6 Sm4'
_cell_length_a 6.631
_cell_length_b 11.457
_cell_length_c 12.063
_cell_angle_alpha 90.00
_cell_angle_beta 100.18
_cell_angle_gamma 90.00
_space_group_name_H-M_alt 'C 1 2/m 1'
_space_group_IT_number 12
_space_group_name_Hall '-C 2y'
loop_
_atom_site_label
_atom_site_fract_x
_atom_site_fract_y
_atom_site_fract_z
_atom_site_occupancy
Ac1 0.246 0.000 0.255 1
Ac2 0.248 0.334 0.251 1
Tb1 0.000 0.166 0.000 1
Tb2 0.000 0.500 0.000 1
Sm1 0.000 0.331 0.500 1
```

***

4.
This entry pairs a crystal structure of Ru2SeS3 with its computed powder X-ray diffraction pattern. Radiation: a wavelength of 1.5418 Å. Structure: a cell relaxed with GGA-PBE.
Kinematic intensities with the Lorentz-polarization factor, no thermal factor.

Largest 8 diffraction maxima, sorted by position, 2θ = 10–90°:
- 2θ = 26.74°, 3.334 Å, rel. 26.4, hkl 1 1 -1
- 2θ = 27.00°, 3.303 Å, rel. 40.2, hkl 1 1 1
- 2θ = 31.12°, 2.874 Å, rel. 100.0, hkl 0 2 0
- 2θ = 34.91°, 2.570 Å, rel. 32.8, hkl 2 1 0
- 2θ = 44.59°, 2.032 Å, rel. 40.3, hkl 2 2 0
- 2θ = 52.61°, 1.740 Å, rel. 33.2, hkl 3 1 -1
- 2θ = 52.76°, 1.735 Å, rel. 21.7, hkl 1 3 -1
- 2θ = 53.05°, 1.726 Å, rel. 43.5, hkl 3 1 1

Atomic structure:
```
data_Ru2SeS3
_chemical_formula_sum 'Ru4 Se2 S6'
_cell_length_a 5.746
_cell_length_b 5.747
_cell_length_c 5.750
_cell_angle_alpha 90.00
_cell_angle_beta 90.81
_cell_angle_gamma 90.00
_space_group_name_H-M_alt 'P 1 21 1'
_space_group_IT_number 4
_space_group_name_Hall 'P 2yb'
loop_
_atom_site_label
_atom_site_fract_x
_atom_site_fract_y
_atom_site_fract_z
_atom_site_occupancy
Ru1 0.000 0.000 0.240 1
Ru2 0.492 0.009 0.751 1
Se1 0.118 0.388 0.368 1
S1 0.116 0.122 0.869 1
S2 0.386 0.620 0.865 1
S3 0.387 0.892 0.360 1
```